Theoretical X-ray powder pattern
Compound: NdIn2Au4
Radiation: Cu Kα (λ = 1.5418 Å)
Structure: DFT lattice parameters and positions (PBE)

Cell: 19.785 4.618 6.833 Å, 90.00 90.00 90.00°
Fractional coordinates of all 28 atoms:
Nd 0.130 0.250 0.006
Nd 0.370 0.750 0.506
Nd 0.630 0.250 0.494
Nd 0.870 0.750 0.994
In 0.030 0.750 0.317
In 0.237 0.250 0.484
In 0.263 0.750 0.984
In 0.470 0.250 0.817
In 0.530 0.750 0.183
In 0.737 0.250 0.016
In 0.763 0.750 0.516
In 0.970 0.250 0.683
Au 0.027 0.750 0.880
Au 0.094 0.250 0.487
Au 0.158 0.750 0.705
Au 0.177 0.750 0.296
Au 0.323 0.250 0.796
Au 0.342 0.250 0.205
Au 0.406 0.750 0.987
Au 0.473 0.250 0.380
Au 0.527 0.750 0.620
Au 0.594 0.250 0.013
Au 0.658 0.750 0.795
Au 0.677 0.750 0.204
Au 0.823 0.250 0.704
Au 0.842 0.250 0.295
Au 0.906 0.750 0.513
Au 0.973 0.250 0.120

Main lines, by angle (2θ = 10–80°):
two_theta  I/Imax
32.55  45
32.92  16
33.39  25
33.87  100
37.92  30
39.01  55
41.42  53
44.59  15
55.53  20
67.39  19

Theoretical X-ray powder pattern
Compound: Nd4In3Au
Radiation: Cu Kα (λ = 1.5418 Å)
Structure: DFT lattice parameters and positions (PBE)

Cell: 3.685 3.685 16.642 Å, 90.00 90.00 90.00°
Fractional coordinates of all 8 atoms:
Nd 0.000 0.000 0.112
Nd 0.000 0.000 0.371
Nd 0.000 0.000 0.629
Nd 0.000 0.000 0.888
In 0.500 0.500 0.241
In 0.500 0.500 0.500
In 0.500 0.500 0.759
Au 0.500 0.500 0.000

Main lines, by angle (2θ = 10–80°):
two_theta  I/Imax
32.46  100
34.42  44
36.37  3
43.50  10
49.47  16
56.61  18
60.42  33
67.96  10
72.56  5
72.87  7

Theoretical X-ray powder pattern
Compound: Nd2InAu4
Radiation: Cu Kα (λ = 1.5418 Å)
Structure: DFT lattice parameters and positions (PBE)

Cell: 9.800 9.800 9.800 Å, 27.66 27.66 27.66°
Fractional coordinates of all 7 atoms:
Nd 0.248 0.248 0.248
Nd 0.752 0.752 0.752
In 0.000 0.000 0.000
Au 0.140 0.140 0.140
Au 0.366 0.366 0.366
Au 0.634 0.634 0.634
Au 0.860 0.860 0.860

Main lines, by angle (2θ = 10–80°):
two_theta  I/Imax
22.80  20
25.31  22
33.64  100
38.42  90
38.83  29
51.98  29
66.46  28
69.50  16
69.77  11
72.47  16

Theoretical X-ray powder pattern
Compound: Nd2ZnInAu6
Radiation: Cu Kα (λ = 1.5418 Å)
Structure: DFT lattice parameters and positions (PBE)

Cell: 5.511 5.854 7.643 Å, 105.35 93.97 103.92°
Fractional coordinates of all 10 atoms:
Nd 0.205 0.450 0.279
Nd 0.795 0.550 0.721
Zn 0.500 0.000 0.000
In 0.000 0.000 0.500
Au 0.074 0.880 0.129
Au 0.306 0.527 0.876
Au 0.420 0.857 0.631
Au 0.580 0.143 0.369
Au 0.694 0.473 0.124
Au 0.926 0.120 0.871

Main lines, by angle (2θ = 10–80°):
two_theta  I/Imax
24.69  30
30.89  43
32.33  27
33.38  100
33.60  26
34.97  30
37.76  32
38.49  45
39.35  37
40.12  60